1.
The following is a calculated powder diffractogram of B3C2. It was derived from a structure optimized by DFT (GGA-PBE), using Cu Kα (weighted mean of Kα1 and Kα2).
Intensities are scaled so that the largest is 1000.

Structure:
```
data_B3C2
_cell_length_a 6.125
_cell_length_b 6.125
_cell_length_c 3.808
_cell_angle_alpha 90.00
_cell_angle_beta 90.00
_cell_angle_gamma 90.00
_symmetry_space_group_name_H-M 'I -4'
_symmetry_Int_Tables_number 82
loop_
_symmetry_equiv_pos_as_xyz
'x,y,z'
'y,-x,-z'
'-x,-y,z'
'-y,x,-z'
'x+1/2,y+1/2,z+1/2'
'y+1/2,-x+1/2,-z+1/2'
'-x+1/2,-y+1/2,z+1/2'
'-y+1/2,x+1/2,-z+1/2'
loop_
_atom_site_label
_atom_site_type_symbol
_atom_site_fract_x
_atom_site_fract_y
_atom_site_fract_z
B1 B 0.000 0.000 0.000
B2 B 0.000 0.500 0.250
B3 B 0.117 0.770 0.714
C1 C 0.097 0.296 0.499
```

Peak list (10 most intense, 2θ from 10° to 90°, in order of falling intensity)
| two_theta | I_rel |
| --- | --- |
| 40.57 | 1000 |
| 69.19 | 252 |
| 82.77 | 155 |
| 68.52 | 131 |
| 84.04 | 80 |
| 20.51 | 57 |
| 27.58 | 43 |
| 29.16 | 29 |
| 59.60 | 19 |
| 46.91 | 15 |



2.
The following is a calculated powder diffractogram of B5C7. It was derived from a structure optimized by DFT (GGA-PBE), using Cu Kα (weighted mean of Kα1 and Kα2).
Intensities are scaled so that the largest is 1000.

Structure:
```
data_B5C7
_cell_length_a 3.571
_cell_length_b 2.607
_cell_length_c 8.201
_cell_angle_alpha 90.00
_cell_angle_beta 98.76
_cell_angle_gamma 90.00
_symmetry_space_group_name_H-M 'P 1 m 1'
_symmetry_Int_Tables_number 6
loop_
_symmetry_equiv_pos_as_xyz
'x,y,z'
'x,-y,z'
loop_
_atom_site_label
_atom_site_type_symbol
_atom_site_fract_x
_atom_site_fract_y
_atom_site_fract_z
B1 B 0.000 0.000 0.000
B2 B 0.016 0.000 0.209
B3 B 0.383 0.500 0.197
B4 B 0.509 0.500 0.856
B5 B 0.757 0.500 0.081
C1 C 0.164 0.000 0.540
C2 C 0.241 0.000 0.859
C3 C 0.410 0.500 0.538
C4 C 0.611 0.500 0.387
C5 C 0.716 0.500 0.695
C6 C 0.856 0.000 0.384
C7 C 0.963 0.000 0.693
```

Peak list (10 most intense, 2θ from 10° to 90°, in order of falling intensity)
| two_theta | I_rel |
| --- | --- |
| 43.14 | 1000 |
| 10.91 | 717 |
| 45.26 | 453 |
| 38.76 | 389 |
| 89.79 | 184 |
| 72.52 | 166 |
| 43.59 | 163 |
| 75.21 | 136 |
| 78.18 | 135 |
| 48.26 | 127 |



3.
The following is a calculated powder diffractogram of BC. It was derived from a structure optimized by DFT (GGA-PBE), using Cu Kα (weighted mean of Kα1 and Kα2).
Intensities are scaled so that the largest is 1000.

Structure:
```
data_BC
_cell_length_a 2.755
_cell_length_b 2.755
_cell_length_c 5.695
_cell_angle_alpha 78.10
_cell_angle_beta 87.67
_cell_angle_gamma 60.29
_symmetry_space_group_name_H-M 'P -1'
_symmetry_Int_Tables_number 2
loop_
_symmetry_equiv_pos_as_xyz
'x,y,z'
'-x,-y,-z'
loop_
_atom_site_label
_atom_site_type_symbol
_atom_site_fract_x
_atom_site_fract_y
_atom_site_fract_z
B1 B 0.225 0.329 0.347
C1 C 0.444 0.345 0.646
```

Peak list (10 most intense, 2θ from 10° to 90°, in order of falling intensity)
| two_theta | I_rel |
| --- | --- |
| 15.94 | 1000 |
| 38.49 | 73 |
| 49.18 | 61 |
| 37.69 | 41 |
| 40.02 | 35 |
| 32.21 | 30 |
| 43.83 | 24 |
| 46.78 | 21 |
| 69.72 | 19 |
| 67.97 | 19 |



4.
The following is a calculated powder diffractogram of B5C7. It was derived from a structure optimized by DFT (GGA-PBE), using Cu Kα (weighted mean of Kα1 and Kα2).
Intensities are scaled so that the largest is 1000.

Structure:
```
data_B5C7
_cell_length_a 2.435
_cell_length_b 2.575
_cell_length_c 12.460
_cell_angle_alpha 90.00
_cell_angle_beta 90.00
_cell_angle_gamma 90.00
_symmetry_space_group_name_H-M 'P m m 2'
_symmetry_Int_Tables_number 25
loop_
_symmetry_equiv_pos_as_xyz
'x,y,z'
'-x,-y,z'
'-x,y,z'
'x,-y,z'
loop_
_atom_site_label
_atom_site_type_symbol
_atom_site_fract_x
_atom_site_fract_y
_atom_site_fract_z
B1 B 0.000 0.000 0.000
B2 B 0.000 0.000 0.316
B3 B 0.000 0.500 0.720
B4 B 0.500 0.000 0.552
B5 B 0.500 0.000 0.889
C1 C 0.000 0.000 0.641
C2 C 0.000 0.500 0.080
C3 C 0.000 0.500 0.398
C4 C 0.500 0.000 0.223
C5 C 0.500 0.500 0.154
C6 C 0.500 0.500 0.466
C7 C 0.500 0.500 0.812
```

Peak list (10 most intense, 2θ from 10° to 90°, in order of falling intensity)
| two_theta | I_rel |
| --- | --- |
| 41.25 | 1000 |
| 43.05 | 942 |
| 69.83 | 519 |
| 89.21 | 170 |
| 73.56 | 129 |
| 21.39 | 125 |
| 78.56 | 107 |
| 78.43 | 95 |
| 79.66 | 58 |
| 14.22 | 51 |



5.
The following is a calculated powder diffractogram of BC4. It was derived from a structure optimized by DFT (GGA-PBE), using Cu Kα (weighted mean of Kα1 and Kα2).
Intensities are scaled so that the largest is 1000.

Structure:
```
data_BC4
_cell_length_a 2.512
_cell_length_b 2.512
_cell_length_c 19.264
_cell_angle_alpha 90.00
_cell_angle_beta 90.00
_cell_angle_gamma 90.00
_symmetry_space_group_name_H-M 'I -4 m 2'
_symmetry_Int_Tables_number 119
_symmetry_space_group_name_Hall 'I -4 -2'
loop_
_atom_site_label
_atom_site_type_symbol
_atom_site_fract_x
_atom_site_fract_y
_atom_site_fract_z
B1 B 0.000 0.000 0.102
C1 C 0.000 0.000 0.297
C2 C 0.000 0.000 0.500
C3 C 0.000 0.500 0.046
C4 C 0.000 0.500 0.250
C5 C 0.000 0.500 0.657
```

Peak list (8 most intense, 2θ from 10° to 90°, in order of falling intensity)
| two_theta | I_rel |
| --- | --- |
| 42.98 | 1000 |
| 72.36 | 263 |
| 75.72 | 122 |
| 84.78 | 80 |
| 18.42 | 65 |
| 27.79 | 17 |
| 56.48 | 10 |
| 36.05 | 6 |



6.
The following is a calculated powder diffractogram of B5C7. It was derived from a structure optimized by DFT (GGA-PBE), using Cu Kα (weighted mean of Kα1 and Kα2).
Intensities are scaled so that the largest is 1000.

Structure:
```
data_B5C7
_cell_length_a 8.530
_cell_length_b 2.518
_cell_length_c 8.310
_cell_angle_alpha 90.00
_cell_angle_beta 119.98
_cell_angle_gamma 90.00
_symmetry_space_group_name_H-M 'C 1 m 1'
_symmetry_Int_Tables_number 8
loop_
_symmetry_equiv_pos_as_xyz
'x,y,z'
'x,-y,z'
'x+1/2,y+1/2,z'
'x+1/2,-y+1/2,z'
loop_
_atom_site_label
_atom_site_type_symbol
_atom_site_fract_x
_atom_site_fract_y
_atom_site_fract_z
B1 B 0.000 0.000 0.000
B2 B 0.015 0.500 0.157
B3 B 0.218 0.500 0.849
B4 B 0.350 0.500 0.307
B5 B 0.388 0.500 0.768
C1 C 0.041 0.000 0.507
C2 C 0.049 0.500 0.619
C3 C 0.186 0.000 0.968
C4 C 0.188 0.500 0.355
C5 C 0.201 0.000 0.465
C6 C 0.329 0.000 0.163
C7 C 0.384 0.000 0.650
```

Peak list (10 most intense, 2θ from 10° to 90°, in order of falling intensity)
| two_theta | I_rel |
| --- | --- |
| 41.95 | 1000 |
| 42.96 | 426 |
| 42.39 | 402 |
| 12.30 | 284 |
| 70.46 | 274 |
| 69.64 | 153 |
| 75.51 | 126 |
| 44.50 | 90 |
| 75.34 | 78 |
| 78.86 | 77 |



7.
The following is a calculated powder diffractogram of BC. It was derived from a structure optimized by DFT (GGA-PBE), using Cu Kα (weighted mean of Kα1 and Kα2).
Intensities are scaled so that the largest is 1000.

Structure:
```
data_BC
_cell_length_a 9.105
_cell_length_b 2.648
_cell_length_c 7.715
_cell_angle_alpha 90.00
_cell_angle_beta 115.40
_cell_angle_gamma 90.00
_symmetry_space_group_name_H-M 'C 1 m 1'
_symmetry_Int_Tables_number 8
loop_
_symmetry_equiv_pos_as_xyz
'x,y,z'
'x,-y,z'
'x+1/2,y+1/2,z'
'x+1/2,-y+1/2,z'
loop_
_atom_site_label
_atom_site_type_symbol
_atom_site_fract_x
_atom_site_fract_y
_atom_site_fract_z
B1 B 0.000 0.000 0.000
B2 B 0.003 0.500 0.589
B3 B 0.154 0.500 0.342
B4 B 0.186 0.000 0.975
B5 B 0.226 0.500 0.846
B6 B 0.393 0.500 0.289
C1 C 0.011 0.500 0.132
C2 C 0.037 0.000 0.505
C3 C 0.198 0.000 0.465
C4 C 0.345 0.000 0.171
C5 C 0.356 0.000 0.657
C6 C 0.358 0.500 0.769
```

Peak list (10 most intense, 2θ from 10° to 90°, in order of falling intensity)
| two_theta | I_rel |
| --- | --- |
| 41.36 | 1000 |
| 40.24 | 609 |
| 40.47 | 596 |
| 69.50 | 290 |
| 19.81 | 259 |
| 69.18 | 216 |
| 71.23 | 158 |
| 12.70 | 115 |
| 83.60 | 109 |
| 25.45 | 98 |



8.
The following is a calculated powder diffractogram of B5C7. It was derived from a structure optimized by DFT (GGA-PBE), using Cu Kα (weighted mean of Kα1 and Kα2).
Intensities are scaled so that the largest is 1000.

Structure:
```
data_B5C7
_cell_length_a 3.639
_cell_length_b 4.408
_cell_length_c 5.553
_cell_angle_alpha 103.16
_cell_angle_beta 92.79
_cell_angle_gamma 110.62
_symmetry_space_group_name_H-M 'P 1'
_symmetry_Int_Tables_number 1
loop_
_symmetry_equiv_pos_as_xyz
'x,y,z'
loop_
_atom_site_label
_atom_site_type_symbol
_atom_site_fract_x
_atom_site_fract_y
_atom_site_fract_z
B1 B 0.000 0.000 0.000
B2 B 0.010 0.396 0.523
B3 B 0.300 0.684 0.117
B4 B 0.319 0.059 0.296
B5 B 0.618 0.742 0.418
C1 C 0.038 0.055 0.520
C2 C 0.287 0.037 0.737
C3 C 0.365 0.719 0.674
C4 C 0.594 0.677 0.887
C5 C 0.612 0.348 0.873
C6 C 0.697 0.392 0.315
C7 C 0.906 0.350 0.074
```

Peak list (10 most intense, 2θ from 10° to 90°, in order of falling intensity)
| two_theta | I_rel |
| --- | --- |
| 39.93 | 1000 |
| 42.11 | 635 |
| 41.03 | 561 |
| 43.30 | 560 |
| 29.24 | 296 |
| 70.04 | 291 |
| 71.03 | 171 |
| 70.23 | 159 |
| 76.20 | 144 |
| 67.78 | 137 |



9.
The following is a calculated powder diffractogram of B5C7. It was derived from a structure optimized by DFT (GGA-PBE), using Cu Kα (weighted mean of Kα1 and Kα2).
Intensities are scaled so that the largest is 1000.

Structure:
```
data_B5C7
_cell_length_a 4.616
_cell_length_b 2.596
_cell_length_c 6.570
_cell_angle_alpha 90.00
_cell_angle_beta 95.55
_cell_angle_gamma 90.00
_symmetry_space_group_name_H-M 'P 1 m 1'
_symmetry_Int_Tables_number 6
loop_
_symmetry_equiv_pos_as_xyz
'x,y,z'
'x,-y,z'
loop_
_atom_site_label
_atom_site_type_symbol
_atom_site_fract_x
_atom_site_fract_y
_atom_site_fract_z
B1 B 0.000 0.000 0.000
B2 B 0.083 0.000 0.747
B3 B 0.419 0.000 0.139
B4 B 0.718 0.000 0.739
B5 B 0.855 0.500 0.146
C1 C 0.247 0.500 0.689
C2 C 0.252 0.500 0.456
C3 C 0.409 0.000 0.385
C4 C 0.522 0.500 0.034
C5 C 0.536 0.500 0.806
C6 C 0.765 0.000 0.473
C7 C 0.909 0.500 0.388
```

Peak list (10 most intense, 2θ from 10° to 90°, in order of falling intensity)
| two_theta | I_rel |
| --- | --- |
| 41.66 | 1000 |
| 42.97 | 525 |
| 41.43 | 422 |
| 69.32 | 237 |
| 71.53 | 211 |
| 13.54 | 198 |
| 22.55 | 155 |
| 72.88 | 140 |
| 88.51 | 91 |
| 82.21 | 82 |



10.
The following is a calculated powder diffractogram of BC. It was derived from a structure optimized by DFT (GGA-PBE), using Cu Kα (weighted mean of Kα1 and Kα2).
Intensities are scaled so that the largest is 1000.

Structure:
```
data_BC
_cell_length_a 3.892
_cell_length_b 11.483
_cell_length_c 3.683
_cell_angle_alpha 90.00
_cell_angle_beta 90.00
_cell_angle_gamma 90.00
_symmetry_space_group_name_H-M 'C 2 2 21'
_symmetry_Int_Tables_number 20
loop_
_symmetry_equiv_pos_as_xyz
'x,y,z'
'-x,-y,z+1/2'
'x,-y,-z'
'-x,y,-z+1/2'
'x+1/2,y+1/2,z'
'-x+1/2,-y+1/2,z+1/2'
'x+1/2,-y+1/2,-z'
'-x+1/2,y+1/2,-z+1/2'
loop_
_atom_site_label
_atom_site_type_symbol
_atom_site_fract_x
_atom_site_fract_y
_atom_site_fract_z
B1 B 0.000 0.063 0.250
B2 B 0.219 0.321 0.026
C1 C 0.000 0.247 0.750
C2 C 0.000 0.424 0.250
C3 C 0.220 0.500 0.500
```

Peak list (10 most intense, 2θ from 10° to 90°, in order of falling intensity)
| two_theta | I_rel |
| --- | --- |
| 41.17 | 1000 |
| 70.40 | 133 |
| 68.80 | 122 |
| 71.04 | 115 |
| 31.16 | 96 |
| 82.83 | 79 |
| 87.05 | 76 |
| 84.05 | 60 |
| 24.15 | 53 |
| 28.80 | 36 |



11.
The following is a calculated powder diffractogram of B3C7. It was derived from a structure optimized by DFT (GGA-PBE), using Cu Kα (weighted mean of Kα1 and Kα2).
Intensities are scaled so that the largest is 1000.

Structure:
```
data_B3C7
_cell_length_a 2.479
_cell_length_b 2.525
_cell_length_c 20.064
_cell_angle_alpha 90.00
_cell_angle_beta 90.00
_cell_angle_gamma 90.00
_symmetry_space_group_name_H-M 'I m m 2'
_symmetry_Int_Tables_number 44
loop_
_symmetry_equiv_pos_as_xyz
'x,y,z'
'-x,-y,z'
'-x,y,z'
'x,-y,z'
'x+1/2,y+1/2,z+1/2'
'-x+1/2,-y+1/2,z+1/2'
'-x+1/2,y+1/2,z+1/2'
'x+1/2,-y+1/2,z+1/2'
loop_
_atom_site_label
_atom_site_type_symbol
_atom_site_fract_x
_atom_site_fract_y
_atom_site_fract_z
B1 B 0.000 0.000 0.000
B2 B 0.000 0.000 0.215
B3 B 0.000 0.500 0.566
C1 C 0.000 0.000 0.403
C2 C 0.000 0.000 0.620
C3 C 0.000 0.000 0.812
C4 C 0.000 0.500 0.161
C5 C 0.000 0.500 0.358
C6 C 0.000 0.500 0.769
C7 C 0.000 0.500 0.947
```

Peak list (10 most intense, 2θ from 10° to 90°, in order of falling intensity)
| two_theta | I_rel |
| --- | --- |
| 42.28 | 1000 |
| 42.88 | 934 |
| 71.03 | 470 |
| 17.68 | 185 |
| 75.26 | 124 |
| 76.90 | 116 |
| 81.42 | 63 |
| 26.66 | 62 |
| 81.82 | 56 |
| 78.75 | 54 |



12.
The following is a calculated powder diffractogram of B5C7. It was derived from a structure optimized by DFT (GGA-PBE), using Cu Kα (weighted mean of Kα1 and Kα2).
Intensities are scaled so that the largest is 1000.

Structure:
```
data_B5C7
_cell_length_a 4.772
_cell_length_b 2.573
_cell_length_c 6.595
_cell_angle_alpha 90.00
_cell_angle_beta 92.12
_cell_angle_gamma 90.00
_symmetry_space_group_name_H-M 'P 1 m 1'
_symmetry_Int_Tables_number 6
loop_
_symmetry_equiv_pos_as_xyz
'x,y,z'
'x,-y,z'
loop_
_atom_site_label
_atom_site_type_symbol
_atom_site_fract_x
_atom_site_fract_y
_atom_site_fract_z
B1 B 0.000 0.000 0.000
B2 B 0.062 0.500 0.650
B3 B 0.535 0.500 0.810
B4 B 0.613 0.000 0.449
B5 B 0.776 0.500 0.120
C1 C 0.135 0.500 0.418
C2 C 0.288 0.000 0.348
C3 C 0.306 0.000 0.112
C4 C 0.444 0.500 0.034
C5 C 0.639 0.000 0.696
C6 C 0.806 0.500 0.358
C7 C 0.962 0.000 0.760
```

Peak list (10 most intense, 2θ from 10° to 90°, in order of falling intensity)
| two_theta | I_rel |
| --- | --- |
| 41.96 | 1000 |
| 40.71 | 584 |
| 41.09 | 421 |
| 23.43 | 311 |
| 70.03 | 259 |
| 69.51 | 227 |
| 73.64 | 132 |
| 70.69 | 93 |
| 87.72 | 86 |
| 82.59 | 81 |